(1)
Computed powder diffraction line list of Tb4HoTh3 for Cu Ka, from a DFT-relaxed cell (PBE, Alexandria).
Neutral-atom scattering factors, no anomalous dispersion.

Peak list (10 most intense, 10° ≤ 2θ ≤ 90°, sorted by position)
two_theta  I (rel.)
30.69  100.0
35.55  33.9
35.65  16.9
51.21  36.5
60.80  14.5
60.94  29.1
63.91  12.6
83.47  12.1
83.60  6.1
86.33  5.7

Structure:
```
16
Lattice="5.0373 0.0000 0.0000 0.0000 10.0892 0.0000 0.0000 0.0000 10.1105" Properties=species:S:1:pos:R:3 pbc="T T T"
Tb 1.2593 0.0089 1.2959
Tb 1.2593 2.5223 8.8317
Tb 1.2593 5.0357 1.2959
Tb 1.2593 7.5669 8.7849
Tb 3.7780 2.5223 1.3256
Tb 3.7780 5.0535 8.8146
Tb 3.7780 7.5669 1.2789
Tb 3.7780 10.0803 8.8146
Ho 1.2593 7.5669 3.8182
Ho 3.7780 2.5223 6.2923
Th 1.2593 2.5223 3.8064
Th 1.2593 5.0657 6.2924
Th 1.2593 10.0682 6.2924
Th 3.7780 0.0210 3.8181
Th 3.7780 5.0236 3.8181
Th 3.7780 7.5669 6.3042
```

(2)
Computed powder diffraction line list of Li3Ga7Cu2 for Cu Ka, from a DFT-relaxed cell (PBE, Alexandria).
Neutral-atom scattering factors, no anomalous dispersion.

Peak list (10 most intense, 10° ≤ 2θ ≤ 90°, sorted by position)
two_theta  I (rel.)
20.02  52.5
23.94  100.0
24.13  32.8
36.05  68.1
36.32  42.9
39.76  40.3
40.10  41.0
44.43  52.1
44.71  37.6
46.99  46.0

Structure:
```
12
Lattice="4.0784 0.0000 0.0000 0.0000 3.8674 0.0000 -1.8742 0.0000 13.3071" Properties=species:S:1:pos:R:3 pbc="T T T"
Li 0.0000 0.0000 0.0000
Li 0.0627 1.9337 8.6800
Li 2.1414 1.9337 4.6270
Ga 0.1072 1.9337 2.0486
Ga 0.0818 0.0000 5.9308
Ga 0.0547 0.0000 11.2056
Ga 2.0392 1.9337 0.0000
Ga 2.1494 0.0000 2.1014
Ga 2.1224 0.0000 7.3762
Ga 2.0970 1.9337 11.2584
Cu 0.1284 0.0000 3.5555
Cu 2.0758 0.0000 9.7515
```

(3)
Computed powder diffraction line list of CaLaNd6Tm2 for Cu Ka, from a DFT-relaxed cell (PBE, Alexandria).
Neutral-atom scattering factors, no anomalous dispersion.

Peak list (10 most intense, 10° ≤ 2θ ≤ 90°, sorted by position)
two_theta  I (rel.)
27.64  34.9
29.73  47.9
29.84  70.9
30.03  22.5
30.36  100.0
30.73  35.0
31.39  28.7
32.94  69.0
57.72  17.7
63.16  17.2

Structure:
```
20
Lattice="4.6666 -7.7644 0.0000 4.6666 7.7644 0.0000 -1.1663 0.0000 9.7782" Properties=species:S:1:pos:R:3 pbc="T T T"
Ca 3.7919 7.3115 7.3337
Ca 4.3751 -7.3115 2.4446
La 4.3751 1.4532 2.4446
La 3.7919 -1.4532 7.3337
Nd 1.9049 4.1317 6.6180
Nd 3.9981 4.9382 0.5261
Nd 4.7520 4.9382 4.3630
Nd 2.7106 1.6559 8.5928
Nd 5.6790 4.1317 8.0494
Nd 4.8732 1.6559 6.0746
Nd 3.2938 -1.6559 3.7036
Nd 2.4880 -4.1317 1.7288
Nd 5.4563 -1.6559 1.1855
Nd 3.4149 -4.9382 5.4152
Nd 4.1689 -4.9382 9.2522
Nd 6.2621 -4.1317 3.1603
Tm 1.6824 0.8176 5.3329
Tm 2.2656 -0.8176 0.4438
Tm 5.9014 0.8176 9.3345
Tm 6.4846 -0.8176 4.4453
```